Simulated powder diffractogram of Hf4AsC3 for Cu Kα, from a crystal structure in OQMD, relaxed with GGA-PBE.
Lines closer than 0.1° are merged.

Top 10 peaks for 15° ≤ 2θ ≤ 90°, sorted by position:
| 2θ/deg | I (rel.) |
| --- | --- |
| 30.8 | 16 |
| 31.0 | 15 |
| 31.7 | 39 |
| 32.9 | 17 |
| 34.5 | 24 |
| 36.4 | 57 |
| 38.7 | 100 |
| 54.6 | 41 |
| 57.2 | 19 |
| 69.0 | 36 |

Crystal structure
```
16
Lattice="3.361 0.000 0.000 -1.681 2.911 0.000 0.000 0.000 23.202" Properties=species:S:1:pos:R:3 pbc="T T T"
Hf 0.000 0.000 3.861
Hf 0.000 0.000 7.740
Hf 0.000 0.000 15.463
Hf 0.000 0.000 19.341
Hf 0.000 1.941 1.287
Hf 0.000 1.941 10.314
Hf 1.681 0.970 12.888
Hf 1.681 0.970 21.915
As 0.000 1.941 5.801
As 1.681 0.970 17.402
C 0.000 0.000 0.000
C 0.000 0.000 11.601
C 0.000 1.941 14.310
C 0.000 1.941 20.493
C 1.681 0.970 2.709
C 1.681 0.970 8.892
```



Simulated powder diffractogram of Hf2Mo4As3C3 for Cu Kα, from a crystal structure in OQMD, relaxed with GGA-PBE.
Lines closer than 0.1° are merged.

Top 10 peaks for 15° ≤ 2θ ≤ 90°, sorted by position:
| 2θ/deg | I (rel.) |
| --- | --- |
| 31.4 | 40 |
| 38.6 | 100 |
| 38.7 | 49 |
| 45.0 | 17 |
| 55.8 | 35 |
| 55.9 | 17 |
| 69.8 | 8 |
| 70.0 | 16 |
| 74.4 | 15 |
| 78.8 | 12 |

Crystal structure
```
24
Lattice="4.931 -2.858 0.000 4.931 2.858 0.000 -3.268 0.000 12.088" Properties=species:S:1:pos:R:3 pbc="T T T"
Hf 2.466 2.381 7.300
Hf 2.494 2.381 10.833
Hf 4.100 -2.381 1.255
Hf 4.128 -2.381 4.789
Mo 2.487 0.483 1.038
Mo 2.462 0.456 5.001
Mo 0.853 -0.483 7.082
Mo 0.828 -0.456 11.045
Mo 5.765 0.456 1.044
Mo 5.741 0.483 5.006
Mo 4.131 -0.456 7.088
Mo 4.107 -0.483 11.050
As -0.676 0.555 9.050
As 0.958 -0.555 3.006
As 2.480 0.327 9.066
As 4.114 -0.327 3.022
As 5.636 0.555 9.083
As 7.270 -0.555 3.038
C 0.831 1.429 6.044
C 4.126 1.448 0.000
C 4.102 1.448 6.044
C 2.465 -1.429 0.000
C 2.492 -1.448 6.044
C 5.736 -1.448 0.000
```



Simulated powder diffractogram of HfNbAsC for Cu Kα, from a crystal structure in OQMD, relaxed with GGA-PBE.
Lines closer than 0.1° are merged.

Top 10 peaks for 15° ≤ 2θ ≤ 90°, sorted by position:
| 2θ/deg | I (rel.) |
| --- | --- |
| 29.0 | 7 |
| 30.6 | 27 |
| 31.5 | 15 |
| 37.8 | 100 |
| 44.2 | 12 |
| 54.4 | 25 |
| 54.7 | 11 |
| 68.2 | 18 |
| 72.6 | 16 |
| 77.0 | 8 |

Crystal structure
```
8
Lattice="3.372 0.000 0.000 -1.686 2.920 0.000 0.000 0.000 12.303" Properties=species:S:1:pos:R:3 pbc="T T T"
Hf 0.000 1.947 0.000
Hf 1.686 0.973 6.151
Nb 0.000 1.947 8.535
Nb 1.686 0.973 2.384
As 0.000 1.947 4.200
As 1.686 0.973 10.351
C 0.000 0.000 1.197
C 0.000 0.000 7.348
```